Record 1
This entry pairs a crystal structure of Rb4Mg3H10 with its calculated powder diffraction line list. Radiation: λ = 1.5418 Å (Cu Kα). Structure: the GGA-PBE geometry in the Materials Project.
Lines closer than 0.1° are merged.

Peak list (6 most intense, 10 to 90 degrees two-theta, by angle)
2θ/deg	I_rel
25.4	20
26.3	29
27.3	100
29.5	36
31.1	22
49.4	23

Cell and atoms:
```
Rb4Mg3H10
1.0
3.0233 -7.0802 0.0000
3.0233 7.0802 0.0000
0.0000 0.0000 13.5683
Rb Mg H
8 6 20
Cartesian
3.0233 6.5006 11.6767
3.0233 3.6413 8.2123
3.0233 3.4388 1.4281
3.0233 0.5795 4.8926
3.0233 -0.5795 8.6757
3.0233 -3.4388 12.1401
3.0233 -3.6413 5.3560
3.0233 -6.5006 1.8915
0.0000 0.0000 6.7841
3.0233 5.3488 4.6588
3.0233 1.7314 11.4430
3.0233 0.0000 0.0000
3.0233 -1.7314 2.1253
3.0233 -5.3488 8.9094
3.0233 6.6926 8.7345
1.2931 1.3968 7.3207
1.5116 1.5688 10.1762
1.7302 1.3968 13.0317
3.0233 3.6265 11.5590
3.0233 3.4537 4.7749
1.2931 -1.3968 6.2475
1.5116 -1.5688 3.3921
1.7302 -1.3968 0.5366
3.0233 0.3876 1.9504
3.0233 -0.3876 11.6179
4.3163 1.3968 13.0317
4.5349 1.5688 10.1762
4.7534 1.3968 7.3207
3.0233 -3.4537 8.7934
3.0233 -3.6265 2.0092
4.3163 -1.3968 0.5366
4.5349 -1.5688 3.3921
4.7534 -1.3968 6.2475
3.0233 -6.6926 4.8338
```

***

Record 2
This entry pairs a crystal structure of Rb2MgH4 with its calculated powder diffraction line list. Radiation: λ = 1.5418 Å (Cu Kα). Structure: the GGA-PBE geometry in the Materials Project.
Lines closer than 0.1° are merged.

Peak list (6 most intense, 10 to 90 degrees two-theta, by angle)
2θ/deg	I_rel
16.9	25
19.7	24
21.6	56
24.4	100
29.5	31
39.7	28

Cell and atoms:
```
Rb2MgH4
1.0
4.1138 -5.2459 0.0000
4.1138 5.2459 0.0000
0.0000 0.0000 8.8087
Rb Mg H
4 2 8
Cartesian
0.0000 0.0000 0.0000
0.0000 0.0000 4.4044
4.1138 0.9494 6.6065
4.1138 -0.9494 2.2022
4.1138 2.6842 2.2022
4.1138 -2.6842 6.6065
1.3640 1.2596 6.6065
1.3640 -1.2596 2.2022
4.1138 1.6948 0.6468
4.1138 1.6948 3.7575
4.1138 -1.6948 5.0512
4.1138 -1.6948 8.1619
6.8636 1.2596 6.6065
6.8636 -1.2596 2.2022
```

***

Record 3
This entry pairs a crystal structure of Mg3ReH7 with its calculated powder diffraction line list. Radiation: λ = 1.5418 Å (Cu Kα). Structure: the GGA-PBE geometry in the Materials Project.
Lines closer than 0.1° are merged.

Peak list (6 most intense, 10 to 90 degrees two-theta, by angle)
2θ/deg	I_rel
16.7	64
21.2	100
27.1	65
37.1	48
40.2	51
40.9	39

Cell and atoms:
```
Mg3ReH7
1.0
4.8469 0.0000 0.0000
-2.4234 4.1975 0.0000
0.0000 0.0000 10.6213
Mg Re H
6 2 14
Cartesian
0.0000 0.0000 2.6553
0.0000 0.0000 7.9660
0.0000 2.7983 0.7299
0.0000 2.7983 4.5807
2.4234 1.3992 6.0406
2.4234 1.3992 9.8914
0.0000 0.0000 0.0000
0.0000 0.0000 5.3107
0.0000 1.4167 6.3490
0.0000 1.4167 9.5830
-1.1965 3.4892 6.3490
-1.1965 3.4892 9.5830
0.0000 2.7983 2.6553
1.2269 0.7083 1.0383
1.2269 0.7083 4.2723
1.1965 3.4892 6.3490
1.1965 3.4892 9.5830
2.4234 1.3992 7.9660
3.6200 0.7083 1.0383
3.6200 0.7083 4.2723
2.4234 2.7808 1.0383
2.4234 2.7808 4.2723
```

***

Record 4
This entry pairs a crystal structure of Mg2H6Ru with its calculated powder diffraction line list. Radiation: λ = 1.5418 Å (Cu Kα). Structure: the GGA-PBE geometry in the Materials Project.
Lines closer than 0.1° are merged.

Peak list (6 most intense, 10 to 90 degrees two-theta, by angle)
2θ/deg	I_rel
23.2	100
38.3	86
45.3	49
55.3	16
60.8	20
69.3	29

Cell and atoms:
```
Mg2H6Ru
1.0
0.0000 3.3211 3.3211
3.3211 0.0000 3.3211
3.3211 3.3211 0.0000
Mg H Ru
2 6 1
Cartesian
1.6606 1.6606 1.6606
4.9817 4.9817 4.9817
3.3211 3.3211 1.6392
3.3211 1.6392 3.3211
5.0031 3.3211 3.3211
1.6392 3.3211 3.3211
3.3211 5.0031 3.3211
3.3211 3.3211 5.0031
3.3211 3.3211 3.3211
```

***

Record 5
This entry pairs a crystal structure of SmMg2H7 with its calculated powder diffraction line list. Radiation: λ = 1.5418 Å (Cu Kα). Structure: the GGA-PBE geometry in the Materials Project.
Lines closer than 0.1° are merged.

Peak list (6 most intense, 10 to 90 degrees two-theta, by angle)
2θ/deg	I_rel
17.1	99
27.9	100
28.7	48
32.1	58
33.6	92
50.3	39

Cell and atoms:
```
SmMg2H7
1.0
6.2180 0.0000 0.0000
0.0000 6.2180 0.0000
0.0000 0.0000 9.3520
Sm Mg H
4 8 28
Cartesian
1.4249 1.4249 0.0000
1.6841 4.5339 2.3380
4.5339 1.6841 7.0140
4.7931 4.7931 4.6760
0.1993 4.5989 8.4153
1.4899 2.9097 6.0772
1.6191 6.0188 5.6128
2.9097 1.4899 3.2748
3.3083 4.7281 7.9508
4.5989 0.1993 0.9368
4.7281 3.3083 1.4012
6.0188 1.6191 3.7392
0.1454 5.9673 3.5254
0.2507 6.0727 1.1506
0.4173 2.6156 7.6878
0.4934 3.5263 0.6738
0.9594 4.2743 4.6954
1.1653 2.1497 2.3574
1.5444 4.6736 7.0140
1.5646 1.5646 4.6760
1.9437 5.2587 9.3326
2.1497 1.1653 6.9946
2.6156 0.4173 1.6642
2.6918 5.7246 4.0022
2.8583 2.9637 1.1874
2.9637 2.8583 8.1646
3.2544 3.3597 3.4886
3.3597 3.2544 5.8635
3.5263 0.4934 8.6782
3.6025 5.8008 6.3402
4.0684 5.0528 2.3186
4.2743 0.9594 4.6566
4.6534 4.6534 0.0000
4.6736 1.5444 2.3380
5.0528 4.0684 7.0334
5.2587 1.9437 0.0194
5.7246 2.6918 5.3498
5.8008 3.6025 3.0118
5.9673 0.1454 5.8266
6.0727 0.2507 8.2015
```

***

Record 6
This entry pairs a crystal structure of Sr6Mg7H26 with its calculated powder diffraction line list. Radiation: λ = 1.5418 Å (Cu Kα). Structure: the GGA-PBE geometry in the Materials Project.
Lines closer than 0.1° are merged.

Peak list (6 most intense, 10 to 90 degrees two-theta, by angle)
2θ/deg	I_rel
23.0	26
28.8	100
29.1	92
30.9	52
31.8	37
44.9	33

Cell and atoms:
```
Sr6Mg7H26
1.0
9.1299 -2.8181 0.0000
9.1299 2.8181 0.0000
-7.1854 0.0000 9.0666
Sr Mg H
6 7 26
Cartesian
-0.2885 0.0000 3.6926
-3.5988 0.0000 8.1795
0.3021 0.0000 7.6779
10.7723 0.0000 1.3887
14.6733 0.0000 0.8872
11.3629 0.0000 5.3741
0.0000 0.0000 0.0000
5.5372 1.4481 4.5333
2.9958 0.0000 2.6421
7.2820 0.0000 2.0294
3.7925 0.0000 7.0372
8.0786 0.0000 6.4246
5.5372 -1.4481 4.5333
1.9297 1.3769 3.4532
3.5573 1.3234 1.3315
-2.4647 0.0000 5.2631
1.1261 0.0000 1.5586
6.6413 1.5626 2.9328
7.9976 1.4132 0.7409
4.4331 1.5626 6.1338
3.0768 1.4132 8.3257
5.8993 0.0000 0.7005
2.1766 0.0000 6.0698
4.5256 0.0000 3.7865
3.5573 -1.3234 1.3315
1.9297 -1.3769 3.4532
9.1447 1.3769 5.6134
7.5171 1.3234 7.7352
6.5488 0.0000 5.2802
8.8978 0.0000 2.9968
5.1751 0.0000 8.3662
7.9976 -1.4132 0.7409
6.6413 -1.5626 2.9328
3.0768 -1.4132 8.3257
4.4331 -1.5626 6.1338
9.9483 0.0000 7.5081
13.5391 0.0000 3.8035
7.5171 -1.3234 7.7352
9.1447 -1.3769 5.6134
```

***

Record 7
This entry pairs a crystal structure of Mg3TcH7 with its calculated powder diffraction line list. Radiation: λ = 1.5418 Å (Cu Kα). Structure: the GGA-PBE geometry in the Materials Project.
Lines closer than 0.1° are merged.

Peak list (6 most intense, 10 to 90 degrees two-theta, by angle)
2θ/deg	I_rel
16.8	69
21.2	100
27.2	36
37.1	70
40.4	58
41.0	38

Cell and atoms:
```
Mg3TcH7
1.0
4.8409 0.0000 0.0000
-2.4205 4.1924 0.0000
0.0000 0.0000 10.5372
Mg Tc H
6 2 14
Cartesian
0.0000 0.0000 2.6343
0.0000 0.0000 7.9029
0.0000 2.7949 0.7104
0.0000 2.7949 4.5582
2.4205 1.3975 5.9790
2.4205 1.3975 9.8268
0.0000 0.0000 0.0000
0.0000 0.0000 5.2686
0.0000 1.4137 6.3023
0.0000 1.4137 9.5035
-1.1962 3.4855 6.3023
-1.1962 3.4855 9.5035
0.0000 2.7949 2.6343
1.2243 0.7068 1.0337
1.2243 0.7068 4.2349
1.1962 3.4855 6.3023
1.1962 3.4855 9.5035
2.4205 1.3975 7.9029
3.6166 0.7068 1.0337
3.6166 0.7068 4.2349
2.4205 2.7787 1.0337
2.4205 2.7787 4.2349
```

***

Record 8
This entry pairs a crystal structure of Mg6TiH16 with its calculated powder diffraction line list. Radiation: λ = 1.5418 Å (Cu Kα). Structure: the GGA-PBE geometry in the Materials Project.
Lines closer than 0.1° are merged.

Peak list (6 most intense, 10 to 90 degrees two-theta, by angle)
2θ/deg	I_rel
16.2	39
31.3	19
32.7	100
37.9	40
54.7	36
65.2	36

Cell and atoms:
```
Mg6TiH16
1.0
0.0000 4.7440 4.7440
4.7440 0.0000 4.7440
4.7440 4.7440 0.0000
Mg Ti H
6 1 16
Cartesian
2.3720 2.3720 0.0000
2.3720 0.0000 2.3720
4.7440 2.3720 2.3720
0.0000 2.3720 2.3720
2.3720 4.7440 2.3720
2.3720 2.3720 4.7440
0.0000 0.0000 0.0000
6.1116 3.3764 3.3764
1.0709 1.0709 1.0709
3.6732 3.6732 1.0709
3.6732 1.0709 3.6732
8.4172 5.8149 5.8149
3.3764 3.3764 3.3764
6.1116 6.1116 3.3764
6.1116 3.3764 6.1116
3.3764 6.1116 3.3764
3.3764 3.3764 6.1116
6.1116 6.1116 6.1116
1.0709 3.6732 3.6732
5.8149 8.4172 5.8149
5.8149 5.8149 8.4172
8.4172 8.4172 8.4172
3.3764 6.1116 6.1116
```

***

Record 9
This entry pairs a crystal structure of MgTiH4 with its calculated powder diffraction line list. Radiation: λ = 1.5418 Å (Cu Kα). Structure: the GGA-PBE geometry in the Materials Project.
Lines closer than 0.1° are merged.

Peak list (6 most intense, 10 to 90 degrees two-theta, by angle)
2θ/deg	I_rel
34.3	100
38.3	16
40.5	26
57.0	23
66.7	12
69.7	21

Cell and atoms:
```
MgTiH4
1.0
3.1490 0.0000 0.0000
0.0000 3.1490 0.0000
0.0000 0.0000 4.6977
Mg Ti H
1 1 4
Cartesian
0.0000 0.0000 0.0000
1.5745 1.5745 2.3489
0.0000 1.5745 1.2425
0.0000 1.5745 3.4553
1.5745 0.0000 1.2425
1.5745 0.0000 3.4553
```

***

Record 10
This entry pairs a crystal structure of MgTi7H16 with its calculated powder diffraction line list. Radiation: λ = 1.5418 Å (Cu Kα). Structure: the GGA-PBE geometry in the Materials Project.
Lines closer than 0.1° are merged.

Peak list (6 most intense, 10 to 90 degrees two-theta, by angle)
2θ/deg	I_rel
35.0	100
40.6	43
58.8	31
70.3	32
73.9	9
87.9	4

Cell and atoms:
```
MgTi7H16
1.0
0.0000 4.4438 4.4438
4.4438 0.0000 4.4438
4.4438 4.4438 0.0000
Mg Ti H
1 7 16
Cartesian
0.0000 0.0000 0.0000
2.2219 2.2219 0.0000
2.2219 0.0000 2.2219
4.4438 2.2219 2.2219
0.0000 2.2219 2.2219
2.2219 4.4438 2.2219
2.2219 2.2219 4.4438
4.4438 4.4438 4.4438
5.5503 3.3372 3.3372
1.1379 1.1379 1.1379
3.3058 3.3058 1.1379
3.3058 1.1379 3.3058
3.3372 3.3372 3.3372
5.5503 5.5503 3.3372
5.5503 3.3372 5.5503
7.7496 5.5817 5.5817
1.1379 3.3058 3.3058
3.3372 5.5503 3.3372
3.3372 3.3372 5.5503
5.5503 5.5503 5.5503
5.5817 7.7496 5.5817
5.5817 5.5817 7.7496
7.7496 7.7496 7.7496
3.3372 5.5503 5.5503
```